[1]
Pa2HgI6: computed XRD peak list (CuKα), based on a cell relaxed with PBE.
Lines closer than 0.1° are merged.

Most intense lines, 10 to 90 degrees two-theta, by intensity:
- hkl 1 4 3, 2θ = 29.45°, intensity 100
- hkl 1 6 3, 2θ = 35.66°, intensity 44
- hkl 2 0 0, 2θ = 32.93°, intensity 28
- hkl 0 0 6, 2θ = 33.84°, intensity 24
- hkl 0 0 2, 2θ = 11.14°, intensity 22
- hkl 2 0 6, 2θ = 47.94°, intensity 18

Cell and atoms:
abc: 5.4392 20.1852 15.8918
angles: 90.00 90.00 90.00
Space group Imma (No. 74)
Inequivalent atoms, fractional coordinates:
Pa 0.0000 0.0043 0.1605 (multiplicity 8)
Hg 0.0000 0.2500 0.8188 (multiplicity 4)
I 0.0000 0.0861 0.6729 (multiplicity 8)
I 0.0000 0.0961 0.3269 (multiplicity 8)
I 0.0000 0.0965 0.9976 (multiplicity 8)



[2]
MgSiRh2: computed XRD peak list (CuKα), based on a cell relaxed with PBE.
Lines closer than 0.1° are merged.

Most intense lines, 10 to 90 degrees two-theta, by intensity:
- hkl 1 1 1, 2θ = 42.41°, intensity 100
- hkl 2 0 0, 2θ = 42.73°, intensity 49
- hkl 1 1 0, 2θ = 29.86°, intensity 46
- hkl 3 1 1, 2θ = 78.03°, intensity 32
- hkl 0 0 1, 2θ = 29.42°, intensity 24
- hkl 2 0 1, 2θ = 52.73°, intensity 19

Cell and atoms:
abc: 4.2320 4.2320 3.0361
angles: 90.00 90.00 90.00
Space group P4/mmm (No. 123)
Inequivalent atoms, fractional coordinates:
Mg 0.0000 0.0000 0.0000 (multiplicity 1)
Si 0.5000 0.5000 0.0000 (multiplicity 1)
Rh 0.0000 0.5000 0.5000 (multiplicity 2)



[3]
Tb6DyIn5: computed XRD peak list (CuKα), based on a cell relaxed with PBE.
Lines closer than 0.1° are merged.

Most intense lines, 10 to 90 degrees two-theta, by intensity:
- hkl 1 2 3, 2θ = 32.42°, intensity 100
- hkl 2 0 0, 2θ = 36.07°, intensity 19
- hkl 0 0 6, 2θ = 35.80°, intensity 19
- hkl 3 2 3, 2θ = 62.57°, intensity 15
- hkl 1 2 9, 2θ = 62.20°, intensity 13
- hkl 2 0 6, 2θ = 51.73°, intensity 13

Cell and atoms:
abc: 4.9797 8.8524 15.0509
angles: 90.00 90.00 90.00
Space group Immm (No. 71)
Inequivalent atoms, fractional coordinates:
Tb 0.0000 0.2296 0.0000 (multiplicity 4)
Tb 0.0000 0.2626 0.3300 (multiplicity 8)
Dy 0.0000 0.0000 0.5000 (multiplicity 2)
In 0.0000 0.0000 0.1761 (multiplicity 4)
In 0.0000 0.5000 0.1521 (multiplicity 4)
In 0.0000 0.5000 0.5000 (multiplicity 2)



[4]
Cs2ReCl3O3: computed XRD peak list (CuKα), based on a cell relaxed with PBE.
Lines closer than 0.1° are merged.

Most intense lines, 10 to 90 degrees two-theta, by intensity:
- hkl 2 1 1, 2θ = 21.51°, intensity 100
- hkl 0 1 3, 2θ = 24.34°, intensity 98
- hkl 2 1 0, 2θ = 20.36°, intensity 81
- hkl 0 2 0, 2θ = 25.31°, intensity 79
- hkl 2 2 1, 2θ = 30.87°, intensity 67
- hkl 2 0 3, 2θ = 26.28°, intensity 59

Cell and atoms:
abc: 11.1200 7.0388 12.8377
angles: 90.00 90.00 90.00
Space group Pnma (No. 62)
Inequivalent atoms, fractional coordinates:
Cs 0.0333 0.2500 0.1787 (multiplicity 4)
Cs 0.1521 0.7500 0.4148 (multiplicity 4)
Re 0.1912 0.7500 0.0666 (multiplicity 4)
Cl 0.1236 0.2500 0.4479 (multiplicity 4)
Cl 0.1790 0.0183 0.6688 (multiplicity 8)
O 0.0940 0.7500 0.1735 (multiplicity 4)
O 0.1405 0.5550 0.9942 (multiplicity 8)



[5]
TmPuFe4: computed XRD peak list (CuKα), based on a cell relaxed with PBE.
Lines closer than 0.1° are merged.

Most intense lines, 10 to 90 degrees two-theta, by intensity:
- hkl 1 1 2, 2θ = 42.10°, intensity 100
- hkl 1 0 3, 2θ = 38.12°, intensity 96
- hkl 1 1 0, 2θ = 36.07°, intensity 71
- hkl 0 2 1, 2θ = 43.29°, intensity 40
- hkl 2 1 3, 2θ = 66.21°, intensity 40
- hkl 0 2 5, 2θ = 70.76°, intensity 27

Cell and atoms:
abc: 4.9808 4.9808 8.4624
angles: 90.00 90.00 120.00
Space group P-3m1 (No. 164)
Inequivalent atoms, fractional coordinates:
Tm 0.3333 0.6667 0.4301 (multiplicity 2)
Pu 0.3333 0.6667 0.0484 (multiplicity 2)
Fe 0.0000 0.0000 0.0000 (multiplicity 1)
Fe 0.0000 0.0000 0.5000 (multiplicity 1)
Fe 0.1670 0.3340 0.7431 (multiplicity 6)



[6]
CaPr8Er4: computed XRD peak list (CuKα), based on a cell relaxed with PBE.
Lines closer than 0.1° are merged.

Most intense lines, 10 to 90 degrees two-theta, by intensity:
- hkl 3 1 1, 2θ = 29.88°, intensity 100
- hkl 0 2 0, 2θ = 34.56°, intensity 34
- hkl 3 3 1, 2θ = 59.05°, intensity 22
- hkl 4 2 -3, 2θ = 49.83°, intensity 18
- hkl 4 0 -3, 2θ = 34.80°, intensity 17
- hkl 2 2 5, 2θ = 49.68°, intensity 12

Cell and atoms:
abc: 11.5602 5.1898 15.0847
angles: 90.00 93.96 90.00
Space group C2/m (No. 12)
Inequivalent atoms, fractional coordinates:
Ca 0.0000 0.0000 0.0000 (multiplicity 2)
Pr 0.0409 0.5000 0.3861 (multiplicity 4)
Pr 0.0754 0.0000 0.7658 (multiplicity 4)
Pr 0.1934 0.5000 0.9198 (multiplicity 4)
Pr 0.2343 0.0000 0.3110 (multiplicity 4)
Er 0.1214 0.5000 0.1593 (multiplicity 4)
Er 0.1517 0.0000 0.5367 (multiplicity 4)



[7]
AlVGa: computed XRD peak list (CuKα), based on a cell relaxed with PBE.
Lines closer than 0.1° are merged.

Most intense lines, 10 to 90 degrees two-theta, by intensity:
- hkl 0 4 1, 2θ = 43.65°, intensity 100
- hkl 2 0 1, 2θ = 47.71°, intensity 99
- hkl 2 4 0, 2θ = 43.86°, intensity 98
- hkl 0 2 1, 2θ = 35.98°, intensity 66
- hkl 2 2 0, 2θ = 36.23°, intensity 64
- hkl 0 6 0, 2θ = 42.00°, intensity 54

Cell and atoms:
abc: 5.3704 12.9075 2.7064
angles: 90.00 90.00 90.00
Space group Cmmm (No. 65)
Inequivalent atoms, fractional coordinates:
Al 0.0000 0.1539 0.0000 (multiplicity 4)
V 0.2417 0.0000 0.5000 (multiplicity 4)
Ga 0.0000 0.3521 0.0000 (multiplicity 4)



[8]
Cr3In5Cl12: computed XRD peak list (CuKα), based on a cell relaxed with PBE.
Lines closer than 0.1° are merged.

Most intense lines, 10 to 90 degrees two-theta, by intensity:
- hkl 2 1 1, 2θ = 31.48°, intensity 100
- hkl 3 0 0, 2θ = 23.93°, intensity 74
- hkl 1 1 1, 2θ = 26.99°, intensity 59
- hkl 4 1 1, 2θ = 44.02°, intensity 46
- hkl 2 0 0, 2θ = 15.89°, intensity 39
- hkl 3 0 1, 2θ = 33.51°, intensity 38

Cell and atoms:
abc: 12.8811 12.8811 3.8479
angles: 90.00 90.00 120.00
Space group P-62m (No. 189)
Inequivalent atoms, fractional coordinates:
Cr 0.0000 0.3355 0.0000 (multiplicity 3)
In 0.0000 0.7199 0.5000 (multiplicity 3)
In 0.3333 0.6667 0.5000 (multiplicity 2)
Cl 0.0000 0.2063 0.5000 (multiplicity 3)
Cl 0.0000 0.4637 0.5000 (multiplicity 3)
Cl 0.2125 0.4378 0.0000 (multiplicity 6)



[9]
Er4Th2Sc3: computed XRD peak list (CuKα), based on a cell relaxed with PBE.
Lines closer than 0.1° are merged.

Most intense lines, 10 to 90 degrees two-theta, by intensity:
- hkl 3 1 1, 2θ = 31.86°, intensity 100
- hkl 3 1 -2, 2θ = 31.74°, intensity 96
- hkl 0 2 0, 2θ = 37.01°, intensity 64
- hkl 0 0 3, 2θ = 36.64°, intensity 33
- hkl 1 1 0, 2θ = 19.37°, intensity 28
- hkl 3 3 -2, 2θ = 63.38°, intensity 27

Cell and atoms:
abc: 14.5766 4.8581 7.7613
angles: 90.00 108.55 90.00
Space group C2/m (No. 12)
Inequivalent atoms, fractional coordinates:
Er 0.0535 0.0000 0.3349 (multiplicity 4)
Er 0.2228 0.5000 0.3298 (multiplicity 4)
Th 0.1650 0.0000 0.0005 (multiplicity 4)
Sc 0.0000 0.5000 0.0000 (multiplicity 2)
Sc 0.1110 0.5000 0.6779 (multiplicity 4)



[10]
Tl2Cu2F5: computed XRD peak list (CuKα), based on a cell relaxed with PBE.
Lines closer than 0.1° are merged.

Most intense lines, 10 to 90 degrees two-theta, by intensity:
- hkl 1 0 2, 2θ = 29.81°, intensity 100
- hkl 1 1 0, 2θ = 31.37°, intensity 37
- hkl 2 1 2, 2θ = 54.88°, intensity 37
- hkl 1 1 2, 2θ = 37.39°, intensity 26
- hkl 2 0 0, 2θ = 44.95°, intensity 24
- hkl 1 0 0, 2θ = 22.04°, intensity 22

Cell and atoms:
abc: 4.0331 4.0331 8.9558
angles: 90.00 90.00 90.00
Space group P4/mmm (No. 123)
Inequivalent atoms, fractional coordinates:
Tl 0.0000 0.0000 0.0000 (multiplicity 1)
Tl 0.0000 0.0000 0.5000 (multiplicity 1)
Cu 0.5000 0.5000 0.2505 (multiplicity 2)
F 0.0000 0.5000 0.2272 (multiplicity 4)
F 0.5000 0.5000 0.5000 (multiplicity 1)



[11]
Tm2AlGa4: computed XRD peak list (CuKα), based on a cell relaxed with PBE.
Lines closer than 0.1° are merged.

Most intense lines, 10 to 90 degrees two-theta, by intensity:
- hkl 2 2 1, 2θ = 37.40°, intensity 100
- hkl 0 0 1, 2θ = 21.38°, intensity 23
- hkl 0 2 1, 2θ = 29.77°, intensity 21
- hkl 2 0 0, 2θ = 22.12°, intensity 20
- hkl 0 4 0, 2θ = 41.64°, intensity 19
- hkl 2 2 0, 2θ = 30.32°, intensity 19

Cell and atoms:
abc: 8.0366 8.6766 4.1556
angles: 90.00 90.00 90.00
Space group Cmmm (No. 65)
Inequivalent atoms, fractional coordinates:
Tm 0.2322 0.0000 0.0000 (multiplicity 4)
Al 0.0000 0.5000 0.5000 (multiplicity 2)
Ga 0.0000 0.2588 0.0000 (multiplicity 4)
Ga 0.2500 0.2500 0.5000 (multiplicity 4)



[12]
BaCu2As6P2: computed XRD peak list (CuKα), based on a cell relaxed with PBE.
Lines closer than 0.1° are merged.

Most intense lines, 10 to 90 degrees two-theta, by intensity:
- hkl -2 1 1, 2θ = 31.34°, intensity 100
- hkl -1 1 2, 2θ = 32.05°, intensity 95
- hkl 0 2 0, 2θ = 28.75°, intensity 76
- hkl 0 2 -2, 2θ = 31.53°, intensity 75
- hkl 1 3 -2, 2θ = 49.48°, intensity 63
- hkl 1 -2 2, 2θ = 34.39°, intensity 61

Cell and atoms:
abc: 5.9014 7.1537 7.1667
angles: 105.70 101.77 110.63
Space group P-1 (No. 2)
Inequivalent atoms, fractional coordinates:
Ba 0.0000 0.0000 0.0000 (multiplicity 1)
Cu 0.1858 0.6898 0.6440 (multiplicity 2)
As 0.2092 0.5096 0.8855 (multiplicity 2)
As 0.2193 0.9812 0.5300 (multiplicity 2)
As 0.2934 0.4659 0.3851 (multiplicity 2)
P 0.4758 0.3398 0.7785 (multiplicity 2)



[13]
LiPm4Pb3: computed XRD peak list (CuKα), based on a cell relaxed with PBE.
Lines closer than 0.1° are merged.

Most intense lines, 10 to 90 degrees two-theta, by intensity:
- hkl 1 1 1, 2θ = 28.73°, intensity 100
- hkl 1 1 3, 2θ = 36.00°, intensity 76
- hkl 0 0 4, 2θ = 30.20°, intensity 33
- hkl 0 2 0, 2θ = 39.36°, intensity 25
- hkl 2 0 0, 2θ = 39.80°, intensity 24
- hkl 0 2 4, 2θ = 50.41°, intensity 19

Cell and atoms:
abc: 4.5295 4.5779 11.8382
angles: 90.00 90.00 90.00
Space group Pmm2 (No. 25)
Inequivalent atoms, fractional coordinates:
Li 0.0000 0.0000 0.0000 (multiplicity 1)
Pm 0.0000 0.0000 0.7057 (multiplicity 1)
Pm 0.0000 0.5000 0.2020 (multiplicity 1)
Pm 0.5000 0.0000 0.4307 (multiplicity 1)
Pm 0.5000 0.5000 0.9348 (multiplicity 1)
Pb 0.0000 0.5000 0.4711 (multiplicity 1)
Pb 0.5000 0.0000 0.1465 (multiplicity 1)
Pb 0.5000 0.5000 0.6648 (multiplicity 1)